(1)
Diffraction record for Sr2ZrAlN. The powder X-ray diffraction pattern is simulated, not measured: it uses DFT lattice parameters and positions (PBE) and Cu Kα.
Peak positions follow from Bragg's law for the DFT cell and can differ from measured ones.

Atomic structure:
Lattice parameters (Å, degrees): 5.836 5.836 5.150 90.00 90.00 90.00
Space group P4/mmm (No. 123)
One atom of each set of equivalent atoms:
Sr 0.000 0.500 0.000 (multiplicity 2)
Zr 0.000 0.000 0.500 (multiplicity 1)
Al 0.000 0.000 0.000 (multiplicity 1)
N 0.500 0.500 0.500 (multiplicity 1)

Most intense lines, 2θ = 10–90°, in order of rising 2θ:
Position (°2θ)  d [Å]  Rel. int.
15.18  5.836  36.9
27.70  3.220  100.0
30.64  2.918  56.4
34.84  2.575  19.8
43.88  2.063  20.3
47.07  1.931  32.9
52.69  1.737  31.8
57.22  1.610  18.1
58.21  1.585  11.7
82.95  1.164  12.3

---

(2)
Diffraction record for TmNi3B2. The powder X-ray diffraction pattern is simulated, not measured: it uses DFT lattice parameters and positions (PBE) and Cu Kα.
Peak positions follow from Bragg's law for the DFT cell and can differ from measured ones.

Atomic structure:
Lattice parameters (Å, degrees): 8.3402 8.3402 3.3003 90.00 90.00 120.00
Space group P6/mmm (No. 191)
One atom of each set of equivalent atoms:
Tm 0.0000 0.0000 0.0000 (multiplicity 1)
Tm 0.3333 0.6667 0.5000 (multiplicity 2)
Ni 0.0000 0.2862 0.5000 (multiplicity 6)
Ni 0.0000 0.5000 0.0000 (multiplicity 3)
B 0.1896 0.3792 0.0000 (multiplicity 6)

Most intense lines, 2θ = 10–90°, in order of rising 2θ:
Position (°2θ)  d [Å]  Rel. int.
21.31  4.170  31.0
29.76  3.002  18.3
36.90  2.436  100.0
37.35  2.408  65.7
43.00  2.104  43.7
43.40  2.085  28.2
46.70  1.945  39.6
62.74  1.481  18.7
69.00  1.361  21.2
75.35  1.261  21.2

---

(3)
Diffraction record for Na2Al2B2O7. The powder X-ray diffraction pattern is simulated, not measured: it uses DFT lattice parameters and positions (PBE) and Cu Kα.
Peak positions follow from Bragg's law for the DFT cell and can differ from measured ones.

Atomic structure:
Lattice parameters (Å, degrees): 4.867 15.553 4.869 90.00 119.74 90.00
Space group P2_1/m (No. 11)
One atom of each set of equivalent atoms:
Na 0.000 0.000 0.000 (multiplicity 2)
Na 0.029 0.250 0.045 (multiplicity 2)
Al 0.338 0.639 0.676 (multiplicity 4)
B 0.324 0.104 0.665 (multiplicity 4)
O 0.029 0.104 0.641 (multiplicity 4)
O 0.333 0.750 0.714 (multiplicity 2)
O 0.348 0.112 0.393 (multiplicity 4)
O 0.407 0.597 0.043 (multiplicity 4)

Most intense lines, 2θ = 10–90°, in order of rising 2θ:
Position (°2θ)  d [Å]  Rel. int.
21.81  4.076  38.5
22.87  3.888  44.1
31.27  2.860  100.0
36.78  2.443  9.7
36.93  2.434  24.2
37.40  2.404  12.7
40.83  2.210  12.5
40.96  2.203  17.3
46.72  1.944  17.1
57.63  1.599  10.8

---

Number 1 is which compound?
Sr2ZrAlN